No. 1
The following is a calculated X-ray diffraction stick pattern of BaNi4O8. It was derived from a cell relaxed with PBE+U, using Cu Kα (weighted mean of Kα1 and Kα2).

Most intense lines, 2θ from 10° to 90°, in order of falling intensity:
Position (°2θ), intensity
13.8, 1000
40.9, 969
18.5, 647
37.4, 498
27.9, 470
20.1, 436
53.1, 288
65.0, 243
34.3, 234
61.0, 233

Atomic structure:
Cell lengths 13.2235, 13.2235, 13.2235 Å; angles 25.05, 25.05, 25.05 degrees
Fractional coordinates of all 26 atoms:
Ba (0.2499, 0.2499, 0.2499)
Ba (0.7501, 0.7501, 0.7501)
Ni (0.0000, 0.0000, 0.0000)
Ni (0.0000, 0.0000, 0.5000)
Ni (0.0000, 0.5000, 0.0000)
Ni (0.0000, 0.5000, 0.5000)
Ni (0.5000, 0.0000, 0.0000)
Ni (0.5000, 0.0000, 0.5000)
Ni (0.5000, 0.5000, 0.0000)
Ni (0.5000, 0.5000, 0.5000)
O (0.1202, 0.6510, 0.6510)
O (0.1415, 0.1415, 0.1415)
O (0.1510, 0.1510, 0.6203)
O (0.1510, 0.6203, 0.1510)
O (0.3490, 0.3490, 0.8798)
O (0.3490, 0.8798, 0.3490)
O (0.3585, 0.3585, 0.3585)
O (0.3797, 0.8490, 0.8490)
O (0.6203, 0.1510, 0.1510)
O (0.6415, 0.6415, 0.6415)
O (0.6510, 0.1202, 0.6510)
O (0.6510, 0.6510, 0.1202)
O (0.8490, 0.3797, 0.8490)
O (0.8490, 0.8490, 0.3797)
O (0.8585, 0.8585, 0.8585)
O (0.8798, 0.3490, 0.3490)



No. 2
The following is a calculated X-ray diffraction stick pattern of Li4Cr2Ni3Sb3O16. It was derived from a cell relaxed with PBE+U, using Cu Kα (weighted mean of Kα1 and Kα2).

Most intense lines, 2θ from 10° to 90°, in order of falling intensity:
Position (°2θ), intensity
18.4, 1000
35.4, 433
61.3, 405
19.2, 376
35.6, 311
19.1, 303
44.4, 280
19.4, 244
45.0, 230
34.2, 216

Atomic structure:
Cell lengths 6.0509, 6.0509, 9.6239 Å; angles 91.32, 91.32, 59.96 degrees
Fractional coordinates of all 28 atoms:
Li (0.0000, 0.0000, 0.0000)
Li (0.0082, 0.0082, 0.5222)
Li (0.3225, 0.3225, 0.6265)
Li (0.6604, 0.6604, 0.1021)
Cr (0.3141, 0.3141, 0.0111)
Cr (0.6427, 0.6427, 0.5315)
Ni (0.1570, 0.1570, 0.2910)
Ni (0.3280, 0.8164, 0.7939)
Ni (0.8164, 0.3280, 0.7939)
Sb (0.1563, 0.6508, 0.2915)
Sb (0.6508, 0.1563, 0.2915)
Sb (0.8171, 0.8171, 0.7925)
O (0.0273, 0.4783, 0.1647)
O (0.1422, 0.6544, 0.9096)
O (0.1554, 0.1554, 0.9076)
O (0.3091, 0.8156, 0.4067)
O (0.3261, 0.3261, 0.4048)
O (0.4728, 0.4728, 0.1672)
O (0.4783, 0.0273, 0.1647)
O (0.5075, 0.5075, 0.6641)
O (0.5153, 0.9490, 0.6584)
O (0.6544, 0.1422, 0.9096)
O (0.6564, 0.6564, 0.9001)
O (0.8156, 0.3091, 0.4067)
O (0.8284, 0.8284, 0.4030)
O (0.9489, 0.5153, 0.6584)
O (0.9846, 0.9846, 0.1885)
O (0.9869, 0.9869, 0.7044)



No. 3
The following is a calculated X-ray diffraction stick pattern of Ti3MnCr2P6O24. It was derived from a cell relaxed with PBE+U, using Cu Kα (weighted mean of Kα1 and Kα2).

Most intense lines, 2θ from 10° to 90°, in order of falling intensity:
Position (°2θ), intensity
24.0, 1000
32.6, 685
20.4, 680
35.8, 313
56.0, 301
49.2, 261
46.8, 230
62.3, 182
31.7, 146
25.1, 136

Atomic structure:
Cell lengths 8.6760, 8.6760, 8.6760 Å; angles 60.09, 60.09, 60.09 degrees
Fractional coordinates of all 36 atoms:
Ti (0.0000, 0.0000, 0.0000)
Ti (0.2086, 0.2086, 0.2086)
Ti (0.7077, 0.7077, 0.7077)
Mn (0.5005, 0.5005, 0.5005)
Cr (0.3556, 0.3556, 0.3556)
Cr (0.8554, 0.8554, 0.8554)
P (0.1005, 0.8114, 0.3971)
P (0.3082, 0.6026, 0.9028)
P (0.3971, 0.1005, 0.8114)
P (0.6026, 0.9028, 0.3082)
P (0.8114, 0.3971, 0.1005)
P (0.9028, 0.3082, 0.6026)
O (0.0309, 0.8681, 0.2377)
O (0.0998, 0.2950, 0.4404)
O (0.1167, 0.7689, 0.9276)
O (0.1632, 0.9743, 0.3522)
O (0.2377, 0.0309, 0.8681)
O (0.2572, 0.6199, 0.4042)
O (0.2950, 0.4404, 0.0998)
O (0.3343, 0.5434, 0.7543)
O (0.3522, 0.1632, 0.9743)
O (0.4042, 0.2572, 0.6199)
O (0.4404, 0.0998, 0.2950)
O (0.4762, 0.6601, 0.8536)
O (0.5434, 0.7543, 0.3343)
O (0.5892, 0.9363, 0.8004)
O (0.6199, 0.4042, 0.2572)
O (0.6601, 0.8536, 0.4762)
O (0.7543, 0.3343, 0.5434)
O (0.7689, 0.9276, 0.1167)
O (0.8004, 0.5892, 0.9363)
O (0.8536, 0.4762, 0.6601)
O (0.8681, 0.2377, 0.0309)
O (0.9276, 0.1167, 0.7689)
O (0.9363, 0.8004, 0.5892)
O (0.9743, 0.3522, 0.1632)



No. 4
The following is a calculated X-ray diffraction stick pattern of Li7Co5O12. It was derived from a cell relaxed with PBE+U, using Cu Kα (weighted mean of Kα1 and Kα2).

Most intense lines, 2θ from 10° to 90°, in order of falling intensity:
Position (°2θ), intensity
18.4, 1000
43.4, 280
43.9, 272
44.1, 266
35.9, 156
63.3, 149
63.6, 147
36.2, 139
36.4, 125
47.9, 94

Atomic structure:
Cell lengths 5.7864, 5.8733, 7.7209 Å; angles 67.95, 79.49, 60.50 degrees
Fractional coordinates of all 24 atoms:
Li (0.0000, 0.0000, 0.0000)
Li (0.0000, 0.5000, 0.0000)
Li (0.1641, 0.3379, 0.6696)
Li (0.3350, 0.6658, 0.3315)
Li (0.5000, 0.0000, 0.0000)
Li (0.6650, 0.3342, 0.6685)
Li (0.8359, 0.6621, 0.3304)
Co (0.1645, 0.8290, 0.6722)
Co (0.3258, 0.1764, 0.3253)
Co (0.5000, 0.5000, 0.0000)
Co (0.6742, 0.8236, 0.6747)
Co (0.8355, 0.1710, 0.3278)
O (0.0067, 0.2386, 0.4984)
O (0.1630, 0.0862, 0.1855)
O (0.2011, 0.5629, 0.1572)
O (0.3404, 0.4404, 0.8407)
O (0.3470, 0.8852, 0.8438)
O (0.4917, 0.7685, 0.5095)
O (0.5083, 0.2315, 0.4905)
O (0.6530, 0.1148, 0.1562)
O (0.6596, 0.5596, 0.1593)
O (0.7989, 0.4371, 0.8428)
O (0.8370, 0.9138, 0.8145)
O (0.9933, 0.7614, 0.5016)



No. 5
The following is a calculated X-ray diffraction stick pattern of Li9Mn2Co5O16. It was derived from a cell relaxed with PBE+U, using Cu Kα (weighted mean of Kα1 and Kα2).

Most intense lines, 2θ from 10° to 90°, in order of falling intensity:
Position (°2θ), intensity
18.6, 1000
42.0, 293
44.4, 250
44.8, 242
34.8, 168
62.9, 141
36.4, 130
36.7, 115
65.3, 90
37.8, 74

Atomic structure:
Cell lengths 5.7146, 5.9160, 10.0426 Å; angles 75.84, 73.98, 61.45 degrees
Fractional coordinates of all 32 atoms:
Li (0.0000, 0.0000, 0.0000)
Li (0.2416, 0.7519, 0.7630)
Li (0.2469, 0.2517, 0.7544)
Li (0.2502, 0.2562, 0.2445)
Li (0.2532, 0.7485, 0.2478)
Li (0.7468, 0.2515, 0.7522)
Li (0.7498, 0.7438, 0.7555)
Li (0.7531, 0.7483, 0.2456)
Li (0.7584, 0.2481, 0.2370)
Mn (0.5000, 0.0000, 0.5000)
Mn (0.5000, 0.5000, 0.5000)
Co (0.0000, 0.0000, 0.5000)
Co (0.0000, 0.5000, 0.0000)
Co (0.0000, 0.5000, 0.5000)
Co (0.5000, 0.0000, 0.0000)
Co (0.5000, 0.5000, 0.0000)
O (0.1269, 0.6257, 0.6126)
O (0.1317, 0.1027, 0.6215)
O (0.1355, 0.1599, 0.1002)
O (0.1430, 0.6082, 0.1089)
O (0.3526, 0.3975, 0.3841)
O (0.3576, 0.3993, 0.8819)
O (0.3772, 0.8924, 0.3762)
O (0.3949, 0.8389, 0.8998)
O (0.6051, 0.1611, 0.1002)
O (0.6228, 0.1076, 0.6238)
O (0.6424, 0.6007, 0.1181)
O (0.6474, 0.6025, 0.6159)
O (0.8570, 0.3918, 0.8911)
O (0.8645, 0.8401, 0.8998)
O (0.8683, 0.8973, 0.3785)
O (0.8731, 0.3743, 0.3874)



No. 6
The following is a calculated X-ray diffraction stick pattern of MgCr2O4. It was derived from a cell relaxed with PBE+U, using Cu Kα (weighted mean of Kα1 and Kα2).

Most intense lines, 2θ from 10° to 90°, in order of falling intensity:
Position (°2θ), intensity
25.0, 1000
50.7, 985
34.8, 791
51.4, 427
63.6, 357
39.2, 332
35.7, 317
17.6, 257
67.7, 226
89.8, 146

Atomic structure:
Cell lengths 5.0274, 5.0274, 3.0063 Å; angles 90.00, 90.00, 90.00 degrees
Fractional coordinates of all 7 atoms:
Mg (0.0000, 0.0000, 0.0000)
Cr (0.0000, 0.5000, 0.2670)
Cr (0.5000, 0.0000, 0.7330)
O (0.1867, 0.2960, 0.7484)
O (0.2960, 0.8133, 0.2516)
O (0.7040, 0.1867, 0.2516)
O (0.8133, 0.7040, 0.7484)



No. 7
The following is a calculated X-ray diffraction stick pattern of LiMo2P3O13. It was derived from a cell relaxed with PBE+U, using Cu Kα (weighted mean of Kα1 and Kα2).

Most intense lines, 2θ from 10° to 90°, in order of falling intensity:
Position (°2θ), intensity
17.6, 1000
12.2, 779
26.5, 320
20.7, 282
27.9, 227
30.1, 203
21.3, 199
23.9, 185
12.4, 180
32.7, 168

Atomic structure:
Cell lengths 8.9290, 8.9290, 8.8209 Å; angles 110.65, 110.65, 105.65 degrees
Fractional coordinates of all 38 atoms:
Li (0.0000, 0.5000, 0.0000)
Li (0.5000, 0.0000, 0.5000)
Mo (0.1624, 0.3277, 0.6718)
Mo (0.3277, 0.1624, 0.1718)
Mo (0.6723, 0.8376, 0.8282)
Mo (0.8376, 0.6723, 0.3282)
P (0.0117, 0.9883, 0.2500)
P (0.2401, 0.6514, 0.5591)
P (0.3486, 0.7599, 0.9409)
P (0.6514, 0.2401, 0.0591)
P (0.7599, 0.3486, 0.4409)
P (0.9883, 0.0117, 0.7500)
O (0.9999, 0.1022, 0.4186)
O (0.0001, 0.8978, 0.5814)
O (0.0575, 0.2108, 0.7967)
O (0.1004, 0.6502, 0.4004)
O (0.1022, 0.9999, 0.9186)
O (0.2023, 0.4629, 0.5331)
O (0.2108, 0.0575, 0.2967)
O (0.2390, 0.7610, 0.7500)
O (0.2459, 0.5696, 0.9071)
O (0.3028, 0.3532, 0.2313)
O (0.3498, 0.8996, 0.0996)
O (0.3532, 0.3028, 0.7313)
O (0.4304, 0.7541, 0.5929)
O (0.4629, 0.2023, 0.0331)
O (0.5371, 0.7977, 0.9669)
O (0.5696, 0.2459, 0.4071)
O (0.6468, 0.6972, 0.2687)
O (0.6502, 0.1004, 0.9004)
O (0.6972, 0.6468, 0.7687)
O (0.7541, 0.4304, 0.0929)
O (0.7610, 0.2390, 0.2500)
O (0.7892, 0.9425, 0.7033)
O (0.7977, 0.5371, 0.4669)
O (0.8978, 0.0001, 0.0814)
O (0.8996, 0.3498, 0.5996)
O (0.9425, 0.7892, 0.2033)



No. 8
The following is a calculated X-ray diffraction stick pattern of Li2CoSiO4. It was derived from a cell relaxed with PBE+U, using Cu Kα (weighted mean of Kα1 and Kα2).

Most intense lines, 2θ from 10° to 90°, in order of falling intensity:
Position (°2θ), intensity
14.0, 1000
28.1, 583
35.7, 501
33.1, 397
21.5, 352
22.6, 278
32.9, 266
24.1, 247
49.5, 238
27.9, 208

Atomic structure:
Cell lengths 6.3409, 5.0324, 10.8125 Å; angles 90.00, 90.75, 90.00 degrees
Fractional coordinates of all 32 atoms:
Li (0.9999, 0.1859, 0.0865)
Li (0.9999, 0.3141, 0.5865)
Li (0.0001, 0.6859, 0.4135)
Li (0.0001, 0.8141, 0.9135)
Li (0.2318, 0.6870, 0.1695)
Li (0.2318, 0.8130, 0.6695)
Li (0.7682, 0.1870, 0.3305)
Li (0.7682, 0.3130, 0.8305)
Co (0.4933, 0.1967, 0.0952)
Co (0.4933, 0.3033, 0.5952)
Co (0.5067, 0.6967, 0.4048)
Co (0.5067, 0.8033, 0.9048)
Si (0.2416, 0.1842, 0.3383)
Si (0.2416, 0.3158, 0.8383)
Si (0.7584, 0.6842, 0.1617)
Si (0.7584, 0.8158, 0.6617)
O (0.0341, 0.2066, 0.9078)
O (0.0341, 0.2934, 0.4078)
O (0.2486, 0.2068, 0.6932)
O (0.2486, 0.2932, 0.1932)
O (0.2500, 0.6453, 0.8379)
O (0.2500, 0.8547, 0.3379)
O (0.4664, 0.2107, 0.9089)
O (0.4664, 0.2893, 0.4089)
O (0.5336, 0.7107, 0.5911)
O (0.5336, 0.7893, 0.0911)
O (0.7500, 0.1453, 0.6621)
O (0.7500, 0.3547, 0.1621)
O (0.7514, 0.7068, 0.8068)
O (0.7514, 0.7932, 0.3068)
O (0.9659, 0.7066, 0.5922)
O (0.9659, 0.7934, 0.0922)



No. 9
The following is a calculated X-ray diffraction stick pattern of MgNb4Ni2O12. It was derived from a cell relaxed with PBE+U, using Cu Kα (weighted mean of Kα1 and Kα2).

Most intense lines, 2θ from 10° to 90°, in order of falling intensity:
Position (°2θ), intensity
25.6, 1000
51.7, 382
34.8, 345
35.0, 342
51.2, 268
52.6, 223
64.1, 137
36.1, 131
36.9, 92
58.8, 87

Atomic structure:
Cell lengths 4.8703, 9.0342, 4.9739 Å; angles 90.00, 90.03, 90.00 degrees
Fractional coordinates of all 19 atoms:
Mg (0.0000, 0.0000, 0.0000)
Nb (0.0000, 0.1820, 0.5000)
Nb (0.0000, 0.8180, 0.5000)
Nb (0.5000, 0.3507, 0.0000)
Nb (0.5000, 0.6493, 0.0000)
Ni (0.0000, 0.5000, 0.5000)
Ni (0.5000, 0.0000, 0.0000)
O (0.2076, 0.0000, 0.6677)
O (0.2270, 0.3256, 0.6911)
O (0.2270, 0.6744, 0.6911)
O (0.2578, 0.1611, 0.1780)
O (0.2578, 0.8389, 0.1780)
O (0.2722, 0.5000, 0.2038)
O (0.7278, 0.5000, 0.7962)
O (0.7422, 0.1611, 0.8220)
O (0.7422, 0.8389, 0.8220)
O (0.7730, 0.3256, 0.3089)
O (0.7730, 0.6744, 0.3089)
O (0.7924, 0.0000, 0.3323)



No. 10
The following is a calculated X-ray diffraction stick pattern of SrWO3. It was derived from a cell relaxed with PBE+U, using Cu Kα (weighted mean of Kα1 and Kα2).

Most intense lines, 2θ from 10° to 90°, in order of falling intensity:
Position (°2θ), intensity
30.8, 1000
54.8, 408
44.2, 293
21.7, 228
89.4, 222
64.2, 183
72.9, 178
49.7, 99
81.3, 62
68.7, 46

Atomic structure:
Cell lengths 4.1013, 4.1013, 4.1013 Å; angles 90.00, 90.00, 90.00 degrees
Fractional coordinates of all 5 atoms:
Sr (0.0000, 0.0000, 0.0000)
W (0.5000, 0.5000, 0.5000)
O (0.0000, 0.5000, 0.5000)
O (0.5000, 0.0000, 0.5000)
O (0.5000, 0.5000, 0.0000)